Starting from a cell relaxed with GGA+U, the powder XRD pattern of Li2Mn3GaO8 was computed for Cu Kα.

Structure:
abc: 5.904 5.904 5.873
angles: 118.53 118.53 59.05
Fractional coordinates of all 14 atoms:
Li 0.113 0.113 0.367
Li 0.887 0.887 0.633
Mn 0.000 0.500 0.000
Mn 0.500 0.000 0.000
Mn 0.500 0.500 0.500
Ga 0.500 0.500 0.000
O 0.243 0.243 0.209
O 0.250 0.703 0.232
O 0.263 0.263 0.789
O 0.297 0.750 0.768
O 0.703 0.250 0.232
O 0.737 0.737 0.211
O 0.750 0.297 0.768
O 0.757 0.757 0.791

Peak list (8 most intense, 10° ≤ 2θ ≤ 90°, by intensity)
18.42°, intensity 100.0
43.81°, intensity 69.7
18.07°, intensity 65.4
42.08°, intensity 38.6
36.10°, intensity 37.4
18.54°, intensity 36.3
61.70°, intensity 22.3
34.93°, intensity 21.9

Starting from a cell relaxed with GGA+U, the powder XRD pattern of MgNiF4 was computed for Cu Kα.

Structure:
abc: 6.175 6.175 6.175
angles: 131.67 131.67 70.75
Fractional coordinates of all 12 atoms:
Mg 0.250 0.250 0.000
Mg 0.750 0.750 0.000
Ni 0.000 0.500 0.500
Ni 0.500 0.000 0.500
F 0.070 0.570 0.907
F 0.163 0.070 0.500
F 0.337 0.837 0.907
F 0.430 0.337 0.500
F 0.570 0.663 0.500
F 0.663 0.163 0.093
F 0.837 0.930 0.500
F 0.930 0.430 0.093

Peak list (8 most intense, 10° ≤ 2θ ≤ 90°, by intensity)
30.67°, intensity 100.0
51.22°, intensity 61.4
51.10°, intensity 27.4
60.79°, intensity 26.9
24.91°, intensity 22.4
60.99°, intensity 13.4
39.91°, intensity 12.6
17.62°, intensity 10.9